Starting from DFT lattice parameters and positions (PBE), the powder X-ray diffraction pattern of EuCo8P5 was calculated for Cu Kα.
Peak positions follow from Bragg's law for the DFT cell and can differ from measured ones.

Cell and atoms:
Lattice parameters (Å, degrees): 3.536 10.471 9.237 90.00 90.00 90.00
Space group Pmmn (No. 59, origin choice 2)
One atom of each set of equivalent atoms:
Eu 0.250 0.250 0.177
Co 0.250 0.006 0.889
Co 0.250 0.082 0.480
Co 0.250 0.250 0.850
Co 0.250 0.609 0.303
Co 0.250 0.750 0.544
P 0.250 0.250 0.615
P 0.250 0.559 0.662
P 0.250 0.630 0.066

Top 8 peaks for 2θ = 10–80°, by angle:
| hkl | 2theta | d/Å | Rel. int. |
| --- | --- | --- | --- |
| 1 2 1 | 32.07 | 2.791 | 38 |
| 1 2 2 | 36.31 | 2.474 | 62 |
| 1 3 1 | 37.49 | 2.399 | 49 |
| 1 1 3 | 39.76 | 2.267 | 80 |
| 0 1 4 | 39.98 | 2.255 | 35 |
| 1 3 2 | 41.27 | 2.188 | 100 |
| 0 4 3 | 45.48 | 1.994 | 34 |
| 2 0 0 | 51.70 | 1.768 | 68 |